LaIr2Au4: computed X-ray powder pattern (Cu Ka), based on a cell relaxed with PBE.

Main lines, by intensity (10° ≤ 2θ ≤ 90°):
2θ/deg  d_spacing  I_rel
33.07  2.709  100
37.56  2.395  58
50.89  1.794  49
26.83  3.323  40
23.22  3.831  38
47.47  1.915  37
13.26  6.675  30
47.24  1.924  25

Cell lengths 7.696, 7.696, 7.696 Å; angles 138.78, 138.78, 59.71 degrees
Sites, in units of the cell vectors:
La (0.000, 0.000, 0.000)
Ir (0.412, 0.412, 0.000)
Ir (0.588, 0.588, 0.000)
Au (0.000, 0.500, 0.500)
Au (0.217, 0.217, 0.000)
Au (0.500, 0.000, 0.500)
Au (0.783, 0.783, 0.000)